1.
This entry pairs a crystal structure of KBi3Pb3 with its calculated powder diffractogram. Radiation: Cu Kα. Structure: a cell relaxed with GGA-PBE.

Atomic structure:
```
14
Lattice="8.832 0.000 0.000 0.000 8.832 0.000 0.000 0.000 8.832" Properties=species:S:1:pos:R:3 pbc="T T T"
K 0.000 0.000 0.000
K 4.416 4.416 4.416
Bi 0.000 2.208 4.416
Bi 0.000 6.624 4.416
Bi 2.208 4.416 0.000
Bi 4.416 0.000 2.208
Bi 4.416 0.000 6.624
Bi 6.624 4.416 0.000
Pb 0.000 4.416 2.208
Pb 0.000 4.416 6.624
Pb 2.208 0.000 4.416
Pb 4.416 2.208 0.000
Pb 4.416 6.624 0.000
Pb 6.624 0.000 4.416
```

Principal peaks in the range 2θ from 10° to 90°, low angle first:
Position (°2θ)	I_rel
14.18	100
20.11	35
24.69	87
35.20	82
38.12	57
40.87	47



2.
This entry pairs a crystal structure of Mg3Zn3Ir2 with its calculated powder diffractogram. Radiation: Cu Kα. Structure: a cell relaxed with GGA-PBE.

Atomic structure:
```
8
Lattice="3.617 2.088 2.770 -3.617 2.088 2.770 0.000 -4.176 2.770" Properties=species:S:1:pos:R:3 pbc="T T T"
Mg -2.718 0.531 2.770
Mg 0.899 -2.619 2.770
Mg 1.818 2.088 2.770
Zn -1.012 -1.754 4.155
Zn -1.012 1.754 4.155
Zn 2.025 0.000 4.155
Ir 0.000 0.000 2.320
Ir 0.000 0.000 5.989
```

Principal peaks in the range 2θ from 10° to 90°, low angle first:
Position (°2θ)	I_rel
24.61	100
25.73	88
35.90	93
41.04	78
43.33	86
44.02	98



3.
This entry pairs a crystal structure of Li12MgCd3 with its calculated powder diffractogram. Radiation: Cu Kα. Structure: a cell relaxed with GGA-PBE.

Atomic structure:
```
16
Lattice="4.304 0.000 0.000 0.000 4.304 0.000 0.000 0.000 16.290" Properties=species:S:1:pos:R:3 pbc="T T T"
Li 0.000 0.000 0.000
Li 0.000 0.000 3.982
Li 0.000 0.000 8.145
Li 0.000 0.000 12.308
Li 0.000 2.152 1.988
Li 0.000 2.152 5.981
Li 0.000 2.152 10.309
Li 0.000 2.152 14.301
Li 2.152 0.000 1.988
Li 2.152 0.000 5.981
Li 2.152 0.000 10.309
Li 2.152 0.000 14.301
Mg 2.152 2.152 8.145
Cd 2.152 2.152 0.000
Cd 2.152 2.152 3.996
Cd 2.152 2.152 12.294
```

Principal peaks in the range 2θ from 10° to 90°, low angle first:
Position (°2θ)	I_rel
20.64	100
21.82	43
29.35	42
30.21	77
36.87	68
52.59	31



4.
This entry pairs a crystal structure of Th3Ni2Au with its calculated powder diffractogram. Radiation: Cu Kα. Structure: a cell relaxed with GGA-PBE.

Atomic structure:
```
12
Lattice="3.734 2.156 6.159 -3.734 2.156 6.159 0.000 -4.312 6.159" Properties=species:S:1:pos:R:3 pbc="T T T"
Th -2.641 -0.263 7.698
Th -1.093 -2.419 10.778
Th 1.548 -2.156 7.698
Th -1.548 2.156 10.778
Th 1.093 2.419 7.698
Th 2.641 0.263 10.778
Ni 0.000 0.000 2.735
Ni 0.000 0.000 6.503
Ni 0.000 0.000 11.973
Ni 0.000 0.000 15.741
Au 0.000 0.000 0.000
Au 0.000 0.000 9.238
```

Principal peaks in the range 2θ from 10° to 90°, low angle first:
Position (°2θ)	I_rel
27.94	100
29.26	16
37.87	57
41.90	44
50.75	20
57.74	15



5.
This entry pairs a crystal structure of Tb2ZnPt4 with its calculated powder diffractogram. Radiation: Cu Kα. Structure: a cell relaxed with GGA-PBE.

Atomic structure:
```
7
Lattice="4.968 0.000 0.000 1.947 4.579 0.000 0.982 2.175 6.704" Properties=species:S:1:pos:R:3 pbc="T T T"
Tb 0.528 1.177 1.472
Tb 7.370 5.578 5.233
Zn 3.949 3.377 3.352
Pt 1.465 3.377 3.352
Pt 2.826 2.642 5.654
Pt 2.975 1.087 3.352
Pt 5.072 4.112 1.051
```

Principal peaks in the range 2θ from 10° to 90°, low angle first:
Position (°2θ)	I_rel
22.39	100
38.24	92
38.78	84
39.39	65
40.36	83
41.82	82



6.
This entry pairs a crystal structure of PmNiAu11 with its calculated powder diffractogram. Radiation: Cu Kα. Structure: a cell relaxed with GGA-PBE.

Atomic structure:
```
13
Lattice="2.756 -6.828 0.000 2.756 6.828 0.000 -2.703 0.000 6.618" Properties=species:S:1:pos:R:3 pbc="T T T"
Pm 0.000 0.000 0.000
Ni -1.352 0.000 3.309
Au 1.378 3.414 0.000
Au 0.123 4.551 4.267
Au -0.023 1.418 5.188
Au 2.686 4.551 2.350
Au -0.023 -1.418 5.188
Au 1.378 -3.414 0.000
Au 1.404 0.000 3.309
Au 2.832 1.418 1.429
Au 0.123 -4.551 4.267
Au 2.832 -1.418 1.429
Au 2.686 -4.551 2.350
```

Principal peaks in the range 2θ from 10° to 90°, low angle first:
Position (°2θ)	I_rel
32.51	56
37.37	49
37.85	100
38.41	39
42.14	55
68.07	30